Theoretical powder diffractogram
Compound: Dy4Sn2Ru
Radiation: Cu Ka
Structure: a structure optimized by DFT (PBE)
Intensities are scaled so that the largest is 100.

Atomic structure:
a = 11.177 Å, b = 4.694 Å, c = 8.710 Å
α = 90.00°, β = 125.33°, γ = 90.00°
Space group C2/m (No. 12)
One atom of each set of equivalent atoms:
Dy (0.068, 0.000, 0.358) (multiplicity 4)
Dy (0.167, 0.500, 0.052) (multiplicity 4)
Sn (0.166, 0.500, 0.677) (multiplicity 4)
Ru (0.000, 0.000, 0.000) (multiplicity 2)

Largest 12 diffraction maxima, low angle first, 2θ from 5° to 70°:
| 2θ/deg | d (Å) | I (rel.) |
| --- | --- | --- |
| 27.50 | 3.243 | 47 |
| 28.35 | 3.148 | 67 |
| 30.94 | 2.891 | 83 |
| 32.13 | 2.786 | 37 |
| 35.18 | 2.551 | 100 |
| 37.20 | 2.417 | 83 |
| 37.33 | 2.409 | 30 |
| 37.99 | 2.368 | 46 |
| 38.35 | 2.347 | 67 |
| 50.87 | 1.795 | 21 |
| 55.09 | 1.667 | 31 |
| 68.62 | 1.368 | 19 |

=====

Theoretical powder diffractogram
Compound: CuTeRh
Radiation: Cu Ka
Structure: a structure optimized by DFT (PBE)
Intensities are scaled so that the largest is 100.

Atomic structure:
a = 3.523 Å, b = 3.523 Å, c = 8.068 Å
α = 90.00°, β = 90.00°, γ = 90.00°
Space group I4mm (No. 107)
One atom of each set of equivalent atoms:
Cu (0.000, 0.000, 0.000) (multiplicity 2)
Te (0.000, 0.000, 0.682) (multiplicity 2)
Rh (0.000, 0.000, 0.335) (multiplicity 2)

Largest 12 diffraction maxima, low angle first, 2θ from 5° to 70°:
| 2θ/deg | d (Å) | I (rel.) |
| --- | --- | --- |
| 22.03 | 4.034 | 6 |
| 27.63 | 3.229 | 6 |
| 36.05 | 2.491 | 80 |
| 42.28 | 2.138 | 100 |
| 42.65 | 2.120 | 4 |
| 51.90 | 1.762 | 28 |
| 57.05 | 1.614 | 2 |
| 58.91 | 1.568 | 1 |
| 59.80 | 1.546 | 2 |
| 63.40 | 1.467 | 3 |
| 69.09 | 1.360 | 44 |
| 69.96 | 1.345 | 5 |

=====

Theoretical powder diffractogram
Compound: LaThTeSe
Radiation: Cu Ka
Structure: a structure optimized by DFT (PBE)
Intensities are scaled so that the largest is 100.

Atomic structure:
a = 4.1877 Å, b = 4.1877 Å, c = 23.7468 Å
α = 90.00°, β = 90.00°, γ = 120.00°
Space group R3m (No. 160, hexagonal axes)
One atom of each set of equivalent atoms:
La (0.0000, 0.0000, 0.0000) (multiplicity 3)
Th (0.0000, 0.0000, 0.8173) (multiplicity 3)
Te (0.0000, 0.0000, 0.5742) (multiplicity 3)
Se (0.0000, 0.0000, 0.4097) (multiplicity 3)

Largest 12 diffraction maxima, low angle first, 2θ from 5° to 70°:
| 2θ/deg | d (Å) | I (rel.) |
| --- | --- | --- |
| 11.18 | 7.916 | 11 |
| 24.83 | 3.585 | 35 |
| 25.68 | 3.469 | 19 |
| 28.85 | 3.095 | 39 |
| 31.03 | 2.882 | 100 |
| 36.26 | 2.477 | 39 |
| 43.21 | 2.094 | 53 |
| 45.67 | 1.987 | 15 |
| 45.86 | 1.979 | 12 |
| 54.14 | 1.694 | 21 |
| 57.64 | 1.599 | 10 |
| 64.83 | 1.438 | 25 |